Record 1
Computed X-ray powder pattern
Compound: HgTe
Radiation: CuKα
Structure: the PBE geometry in the Materials Project
Kinematic intensities with the Lorentz-polarization factor, no thermal factor.

Structural model:
Cell lengths 6.1542, 6.1542, 6.1542 Å; angles 90.00, 90.00, 90.00 degrees
Space group Fm-3m (No. 225)
One atom of each set of equivalent atoms:
Hg1 0.0000 0.0000 0.0000 [4 per cell]
Te1 0.0000 0.0000 0.5000 [4 per cell]

Main lines, in order of rising 2θ (2θ from 15° to 90°):
hkl	two_theta	I_rel
1 1 1	25.06	10
2 0 0	29.02	100
2 2 0	41.50	77
3 1 1	49.10	6
2 2 2	51.44	28
4 0 0	60.14	13
3 3 1	66.19	2
4 2 0	68.14	36
4 2 2	75.71	27
5 1 1	81.22	2



Record 2
Computed X-ray powder pattern
Compound: HgTe
Radiation: CuKα
Structure: the PBE geometry in the Materials Project
Kinematic intensities with the Lorentz-polarization factor, no thermal factor.

Structural model:
Cell lengths 4.7046, 4.7046, 10.4105 Å; angles 90.00, 90.00, 120.00 degrees
Space group P3_221 (No. 154)
One atom of each set of equivalent atoms:
Hg1 0.0000 0.6491 0.3333 [3 per cell]
Te1 0.0000 0.5237 0.8333 [3 per cell]

Main lines, in order of rising 2θ (2θ from 15° to 90°):
hkl	two_theta	I_rel
1 0 1	23.45	24
0 1 2	27.81	100
1 1 0	38.26	27
1 0 4	41.16	35
0 2 1	45.36	9
1 1 3	46.65	14
2 0 2	47.96	12
2 1 1	60.80	13
1 2 2	62.94	11
1 1 6	67.02	12



Record 3
Computed X-ray powder pattern
Compound: HgTe
Radiation: CuKα
Structure: the PBE geometry in the Materials Project
Kinematic intensities with the Lorentz-polarization factor, no thermal factor.

Structural model:
Cell lengths 6.0912, 6.0912, 3.1188 Å; angles 90.00, 90.00, 90.00 degrees
Space group I-4m2 (No. 119)
One atom of each set of equivalent atoms:
Hg1 0.0000 0.0000 0.0000 [2 per cell]
Te1 0.0000 0.5000 0.2500 [2 per cell]

Main lines, in order of rising 2θ (2θ from 15° to 90°):
hkl	two_theta	I_rel
2 0 0	29.33	100
1 0 1	32.25	83
2 2 0	41.95	38
2 1 1	44.14	70
3 0 1	53.88	20
3 2 1	62.53	25
1 1 2	63.44	23
4 2 0	68.94	18
4 1 1	70.54	18
3 1 2	79.00	25



What did the second record say?
Computed X-ray powder pattern
Compound: HgTe
Radiation: CuKα
Structure: the PBE geometry in the Materials Project
Kinematic intensities with the Lorentz-polarization factor, no thermal factor.

Structural model:
Cell lengths 4.7046, 4.7046, 10.4105 Å; angles 90.00, 90.00, 120.00 degrees
Space group P3_221 (No. 154)
One atom of each set of equivalent atoms:
Hg1 0.0000 0.6491 0.3333 [3 per cell]
Te1 0.0000 0.5237 0.8333 [3 per cell]

Main lines, in order of rising 2θ (2θ from 15° to 90°):
hkl	two_theta	I_rel
1 0 1	23.45	24
0 1 2	27.81	100
1 1 0	38.26	27
1 0 4	41.16	35
0 2 1	45.36	9
1 1 3	46.65	14
2 0 2	47.96	12
2 1 1	60.80	13
1 2 2	62.94	11
1 1 6	67.02	12



- Number 1 is which compound?
  HgTe